Record 1
Starting from a structure optimized by DFT (GGA-PBE), the powder XRD pattern of KCO3 was computed for Cu Ka.
No peak broadening, texture or thermal motion is included.

Principal peaks in the range 2θ = 10–90°, low angle first:
Position (°2θ)  intensity
26.77  34
27.00  42
28.10  31
31.39  100
39.24  27
40.43  35

Cell and atoms:
```
20
Lattice="4.494 0.000 0.000 0.000 10.319 0.000 -3.446 0.000 6.972" Properties=species:S:1:pos:R:3 pbc="T T T"
K -1.105 1.915 2.891
K -2.828 3.245 6.377
K 3.876 7.074 0.595
K 2.153 8.405 4.080
C -0.990 5.660 4.966
C 0.733 9.819 1.480
C 0.315 0.500 5.492
C 2.038 4.659 2.006
O -1.919 6.003 5.789
O -0.196 9.476 2.303
O 0.974 0.735 1.247
O -0.749 4.425 4.733
O -0.291 6.585 4.412
O 1.432 8.894 0.926
O -0.384 1.425 6.046
O 1.339 3.735 2.560
O 1.797 5.894 2.239
O 0.074 9.584 5.725
O 1.243 0.843 4.669
O 2.966 4.317 1.183
```

Record 2
Starting from a structure optimized by DFT (GGA-PBE), the powder XRD pattern of ZnCdTe2 was computed for Cu Ka.
No peak broadening, texture or thermal motion is included.

Principal peaks in the range 2θ = 10–90°, low angle first:
Position (°2θ)  intensity
24.05  100
39.77  77
47.02  48
63.23  19
72.20  24
77.35  14

Cell and atoms:
```
12
Lattice="4.533 0.000 0.000 -2.267 3.926 0.000 0.000 0.000 22.200" Properties=species:S:1:pos:R:3 pbc="T T T"
Zn 0.000 0.000 0.000
Zn 0.000 2.617 14.800
Zn 2.267 1.309 7.400
Cd 0.000 0.000 11.082
Cd 0.000 2.617 3.682
Cd 2.267 1.309 18.482
Te 0.000 0.000 8.217
Te 0.000 0.000 19.533
Te 0.000 2.617 0.817
Te 0.000 2.617 12.133
Te 2.267 1.309 4.733
Te 2.267 1.309 15.617
```

Record 3
Starting from a structure optimized by DFT (GGA-PBE), the powder XRD pattern of Sr2GaSbO6 was computed for Cu Ka.
No peak broadening, texture or thermal motion is included.

Principal peaks in the range 2θ = 10–90°, low angle first:
Position (°2θ)  intensity
31.60  100
31.99  53
45.88  32
56.04  21
56.78  42
66.00  20

Cell and atoms:
```
10
Lattice="-2.797 2.797 4.053 2.797 -2.797 4.053 2.797 2.797 -4.053" Properties=species:S:1:pos:R:3 pbc="T T T"
Sr 2.797 0.000 2.026
Sr 0.000 2.797 2.026
Ga 0.000 0.000 0.000
Sb 0.000 0.000 4.053
O 1.630 1.164 0.000
O 0.000 0.000 2.043
O 1.633 -1.167 4.053
O 1.164 3.964 0.000
O 0.000 0.000 6.063
O 1.167 1.633 4.053
```